1.
For LiCrPO4, the PBE+U geometry in Alexandria gives the calculated powder XRD pattern in this record (Cu Kα X-rays).
Intensities are scaled so that the largest is 100.

```
LiCrPO4
1.0
10.247 0.000 0.000
0.000 6.349 0.000
0.000 0.000 4.781
Li Cr P O
4 4 4 16
direct
0.000 0.000 0.000
0.000 0.500 0.000
0.500 0.000 0.500
0.500 0.500 0.500
0.215 0.250 0.445
0.285 0.750 0.945
0.715 0.250 0.055
0.785 0.750 0.555
0.094 0.750 0.413
0.406 0.250 0.913
0.594 0.750 0.087
0.906 0.250 0.587
0.050 0.250 0.694
0.102 0.750 0.737
0.160 0.553 0.280
0.160 0.947 0.280
0.340 0.053 0.780
0.340 0.447 0.780
0.398 0.250 0.237
0.450 0.750 0.194
0.550 0.250 0.806
0.602 0.750 0.763
0.660 0.553 0.220
0.660 0.947 0.220
0.840 0.053 0.720
0.840 0.447 0.720
0.898 0.250 0.263
0.950 0.750 0.306
```

Most intense lines, 2θ from 15° to 90°, by intensity:
35.25 deg, rel. 100
28.11 deg, rel. 92
20.50 deg, rel. 83
24.88 deg, rel. 76
35.04 deg, rel. 47
54.48 deg, rel. 43
32.21 deg, rel. 34
51.04 deg, rel. 30
29.16 deg, rel. 29
17.31 deg, rel. 29

---

2.
For Li2Cr5P4O16, the PBE+U geometry in Alexandria gives the calculated powder XRD pattern in this record (Cu Kα X-rays).
Intensities are scaled so that the largest is 100.

```
Li2Cr5P4O16
1.0
5.396 0.000 0.000
1.587 8.048 0.000
0.824 3.956 7.908
Li Cr P O
2 5 4 16
direct
0.157 0.236 0.311
0.843 0.764 0.689
0.215 0.040 0.716
0.316 0.720 0.221
0.500 0.500 0.000
0.684 0.280 0.779
0.785 0.960 0.284
0.160 0.188 0.006
0.382 0.716 0.588
0.618 0.284 0.412
0.840 0.812 0.994
0.105 0.694 0.048
0.124 0.991 0.151
0.177 0.836 0.649
0.260 0.665 0.471
0.309 0.168 0.855
0.314 0.271 0.087
0.390 0.183 0.492
0.489 0.536 0.752
0.511 0.464 0.248
0.610 0.817 0.508
0.686 0.729 0.913
0.691 0.832 0.145
0.740 0.335 0.529
0.823 0.164 0.351
0.876 0.009 0.849
0.895 0.306 0.952
```

Most intense lines, 2θ from 15° to 90°, by intensity:
34.00 deg, rel. 100
27.54 deg, rel. 88
19.04 deg, rel. 80
24.88 deg, rel. 60
30.41 deg, rel. 54
33.86 deg, rel. 42
36.09 deg, rel. 31
30.27 deg, rel. 30
20.08 deg, rel. 26
16.75 deg, rel. 26

---

3.
For LiCrP2O7, the PBE+U geometry in Alexandria gives the calculated powder XRD pattern in this record (Cu Kα X-rays).
Intensities are scaled so that the largest is 100.

```
LiCrP2O7
1.0
3.282 -4.091 0.000
3.282 4.091 0.000
-1.052 0.000 4.396
Li Cr P O
1 1 2 7
direct
0.000 0.000 0.000
0.627 0.373 0.000
0.081 0.504 0.590
0.496 0.919 0.410
0.219 0.781 0.500
0.285 0.377 0.743
0.402 0.100 0.200
0.623 0.715 0.257
0.677 0.066 0.715
0.900 0.598 0.800
0.934 0.323 0.285
```

Most intense lines, 2θ from 15° to 90°, by intensity:
29.33 deg, rel. 100
29.84 deg, rel. 95
30.54 deg, rel. 89
17.62 deg, rel. 66
21.73 deg, rel. 59
58.27 deg, rel. 33
24.32 deg, rel. 30
43.13 deg, rel. 27
44.16 deg, rel. 25
35.68 deg, rel. 24